For Li2CrPCO7, DFT lattice parameters and positions (GGA+U) gives the computed XRD peak list in this record (Cu Kα X-rays).
Peak positions follow from Bragg's law for the DFT cell and can differ from measured ones.

Crystal structure
```
data_Li2CrPCO7
_space_group_name_H-M_alt 'P 1 21/m 1'
_space_group_IT_number 11
_cell_length_a 5.022
_cell_length_b 6.389
_cell_length_c 8.477
_cell_angle_alpha 90.00
_cell_angle_beta 93.63
_cell_angle_gamma 90.00
loop_
_space_group_symop_operation_xyz
'x,y,z'
'-x,-y,-z'
'-x,y+1/2,-z'
'x,-y+1/2,z'
loop_
_atom_site_label
_atom_site_fract_x
_atom_site_fract_y
_atom_site_fract_z
Li1 0.225 0.001 0.274
Cr1 0.209 0.750 0.844
P1 0.278 0.250 0.919
C1 0.273 0.750 0.559
O1 0.038 0.750 0.620
O2 0.167 0.250 0.087
O3 0.175 0.058 0.824
O4 0.304 0.750 0.412
O5 0.412 0.750 0.058
O6 0.474 0.750 0.668
```

Most intense lines, 10 to 90 degrees two-theta, sorted by position:
2θ (°)	Rel. int.
10.46	1000
17.39	390
20.01	268
21.17	332
22.55	167
25.39	241
26.70	375
27.93	678
35.83	151
40.24	174